For Tm2S2O, a crystal structure in the Materials Project, relaxed with PBE gives the calculated PXRD pattern in this record (Cu Kα (λ = 1.5418 Å)).

```
data_Tm2S2O
_chemical_formula_sum 'Tm8 S8 O4'
_space_group_name_H-M_alt 'P 1 21/c 1'
_space_group_IT_number 14
_cell_length_a 8.185
_cell_length_b 6.797
_cell_length_c 6.798
_cell_angle_alpha 90.00
_cell_angle_beta 99.51
_cell_angle_gamma 90.00
loop_
_space_group_symop_operation_xyz
'x,y,z'
'-x,-y,-z'
'-x,y+1/2,-z+1/2'
'x,-y+1/2,z+1/2'
loop_
_atom_site_label
_atom_site_type_symbol
_atom_site_fract_x
_atom_site_fract_y
_atom_site_fract_z
_atom_site_occupancy
Tm1 Tm 0.075 0.146 0.324 1
Tm2 Tm 0.361 0.553 0.251 1
S1 S 0.182 0.631 0.581 1
S2 S 0.425 0.223 0.470 1
O1 O 0.117 0.087 0.650 1
```

Peak list (10 most intense, 10 to 80 degrees two-theta, low angle first)
2theta	I (rel.)	index
20.47	39	1 1 -1
25.67	28	2 1 0
26.59	41	0 0 2
27.20	51	2 1 -1
29.47	63	0 2 1
29.72	22	0 1 2
30.66	100	2 1 1
39.32	31	3 0 -2
39.96	25	2 1 2
42.28	27	1 1 -3